(1)
Starting from a PBE-relaxed structure, the XRD peak list of SrLi5Cd3 was simulated for copper Kα.
Peak positions follow from Bragg's law for the DFT cell and can differ from measured ones.

Most intense lines, 2θ from 15° to 90°, sorted by position:
| two_theta | d/Å | I/Imax |
| --- | --- | --- |
| 15.3 | 5.792 | 26 |
| 19.3 | 4.602 | 30 |
| 20.5 | 4.335 | 33 |
| 23.6 | 3.767 | 86 |
| 24.5 | 3.631 | 26 |
| 28.5 | 3.134 | 41 |
| 33.5 | 2.677 | 18 |
| 34.4 | 2.605 | 100 |
| 36.6 | 2.456 | 30 |
| 39.4 | 2.285 | 33 |

Structure:
```
data_SrLi5Cd3
_chemical_formula_sum 'Sr2 Li10 Cd6'
_symmetry_space_group_name_H-M 'P 1'
_symmetry_Int_Tables_number 1
_symmetry_space_group_name_Hall 'P 1'
_cell_length_a 6.9002
_cell_length_b 6.9002
_cell_length_c 13.1798
_cell_angle_alpha 90.00
_cell_angle_beta 90.00
_cell_angle_gamma 138.30
loop_
_atom_site_label
_atom_site_type_symbol
_atom_site_fract_x
_atom_site_fract_y
_atom_site_fract_z
Sr1 Sr 0.0881 0.9119 0.7500
Sr2 Sr 0.9119 0.0881 0.2500
Li1 Li 0.0000 0.0000 0.0000
Li2 Li 0.0000 0.0000 0.5000
Li3 Li 0.2004 0.7996 0.0277
Li4 Li 0.2004 0.7996 0.4723
Li5 Li 0.3750 0.6250 0.6420
Li6 Li 0.3750 0.6250 0.8580
Li7 Li 0.6250 0.3750 0.1420
Li8 Li 0.6250 0.3750 0.3580
Li9 Li 0.7996 0.2004 0.5277
Li10 Li 0.7996 0.2004 0.9723
Cd1 Cd 0.2081 0.7919 0.2500
Cd2 Cd 0.4072 0.5928 0.0700
Cd3 Cd 0.4072 0.5928 0.4300
Cd4 Cd 0.5928 0.4072 0.5700
Cd5 Cd 0.5928 0.4072 0.9300
Cd6 Cd 0.7919 0.2081 0.7500
```

(2)
Starting from a PBE-relaxed structure, the XRD peak list of Sr2LiCd3 was simulated for copper Kα.
Peak positions follow from Bragg's law for the DFT cell and can differ from measured ones.

Most intense lines, 2θ from 15° to 90°, sorted by position:
| two_theta | d/Å | I/Imax |
| --- | --- | --- |
| 20.6 | 4.313 | 16 |
| 21.5 | 4.137 | 9 |
| 29.7 | 3.007 | 100 |
| 35.5 | 2.529 | 69 |
| 41.9 | 2.158 | 9 |
| 43.8 | 2.068 | 13 |
| 46.9 | 1.936 | 27 |
| 57.6 | 1.601 | 33 |
| 60.2 | 1.538 | 17 |
| 82.7 | 1.167 | 9 |

Structure:
```
data_Sr2LiCd3
_chemical_formula_sum 'Sr4 Li2 Cd6'
_symmetry_space_group_name_H-M 'P 1'
_symmetry_Int_Tables_number 1
_symmetry_space_group_name_Hall 'P 1'
_cell_length_a 10.1088
_cell_length_b 9.6773
_cell_length_c 6.5392
_cell_angle_alpha 74.31
_cell_angle_beta 67.17
_cell_angle_gamma 38.52
loop_
_atom_site_label
_atom_site_type_symbol
_atom_site_fract_x
_atom_site_fract_y
_atom_site_fract_z
Sr1 Sr 0.2500 0.2500 0.2500
Sr2 Sr 0.2505 0.7495 0.7495
Sr3 Sr 0.7495 0.2505 0.2505
Sr4 Sr 0.7500 0.7500 0.7500
Li1 Li 0.1668 0.1668 0.8332
Li2 Li 0.8332 0.8332 0.1668
Cd1 Cd 0.1609 0.6693 0.3307
Cd2 Cd 0.3307 0.3307 0.6693
Cd3 Cd 0.3307 0.8391 0.1609
Cd4 Cd 0.6693 0.1609 0.8391
Cd5 Cd 0.6693 0.6693 0.3307
Cd6 Cd 0.8391 0.3307 0.6693
```

(3)
Starting from a PBE-relaxed structure, the XRD peak list of LiTaCd was simulated for copper Kα.
Peak positions follow from Bragg's law for the DFT cell and can differ from measured ones.

Most intense lines, 2θ from 15° to 90°, sorted by position:
| two_theta | d/Å | I/Imax |
| --- | --- | --- |
| 23.0 | 3.863 | 30 |
| 34.8 | 2.576 | 32 |
| 35.9 | 2.502 | 23 |
| 37.8 | 2.380 | 100 |
| 43.1 | 2.100 | 64 |
| 50.9 | 1.795 | 18 |
| 60.6 | 1.529 | 26 |
| 64.5 | 1.444 | 16 |
| 71.8 | 1.315 | 13 |
| 75.5 | 1.260 | 20 |

Structure:
```
data_LiTaCd
_chemical_formula_sum 'Li1 Ta1 Cd1'
_symmetry_space_group_name_H-M 'P 1'
_symmetry_Int_Tables_number 1
_symmetry_space_group_name_Hall 'P 1'
_cell_length_a 2.8888
_cell_length_b 2.8888
_cell_length_c 7.7266
_cell_angle_alpha 90.00
_cell_angle_beta 90.00
_cell_angle_gamma 120.00
loop_
_atom_site_label
_atom_site_type_symbol
_atom_site_fract_x
_atom_site_fract_y
_atom_site_fract_z
Li1 Li 0.0000 0.0000 0.0000
Ta1 Ta 0.6667 0.3333 0.3324
Cd1 Cd 0.3333 0.6667 0.6779
```

(4)
Starting from a PBE-relaxed structure, the XRD peak list of LiTaCd was simulated for copper Kα.
Peak positions follow from Bragg's law for the DFT cell and can differ from measured ones.

Most intense lines, 2θ from 15° to 90°, sorted by position:
| two_theta | d/Å | I/Imax |
| --- | --- | --- |
| 18.7 | 4.741 | 55 |
| 24.0 | 3.708 | 31 |
| 34.3 | 2.615 | 32 |
| 35.2 | 2.553 | 59 |
| 36.3 | 2.472 | 61 |
| 38.0 | 2.371 | 68 |
| 38.7 | 2.328 | 100 |
| 41.5 | 2.175 | 84 |
| 42.2 | 2.143 | 39 |
| 62.0 | 1.498 | 32 |

Structure:
```
data_LiTaCd
_chemical_formula_sum 'Li2 Ta2 Cd2'
_symmetry_space_group_name_H-M 'P 1'
_symmetry_Int_Tables_number 1
_symmetry_space_group_name_Hall 'P 1'
_cell_length_a 5.2942
_cell_length_b 5.2942
_cell_length_c 7.7345
_cell_angle_alpha 105.85
_cell_angle_beta 105.85
_cell_angle_gamma 32.07
loop_
_atom_site_label
_atom_site_type_symbol
_atom_site_fract_x
_atom_site_fract_y
_atom_site_fract_z
Li1 Li 0.0000 0.0000 0.0000
Li2 Li 0.6663 0.6663 0.3384
Ta1 Ta 0.3350 0.3350 0.6745
Ta2 Ta 0.6168 0.6168 0.7304
Cd1 Cd 0.2821 0.2821 0.0607
Cd2 Cd 0.9446 0.9446 0.3937
```

(5)
Starting from a PBE-relaxed structure, the XRD peak list of LiTb4Cd3 was simulated for copper Kα.
Peak positions follow from Bragg's law for the DFT cell and can differ from measured ones.

Most intense lines, 2θ from 15° to 90°, sorted by position:
| two_theta | d/Å | I/Imax |
| --- | --- | --- |
| 23.7 | 3.757 | 10 |
| 33.7 | 2.657 | 51 |
| 33.9 | 2.644 | 100 |
| 48.5 | 1.879 | 18 |
| 48.9 | 1.861 | 9 |
| 60.4 | 1.531 | 37 |
| 60.8 | 1.524 | 18 |
| 71.3 | 1.322 | 11 |
| 81.0 | 1.188 | 16 |
| 81.7 | 1.178 | 8 |

Structure:
```
data_LiTb4Cd3
_chemical_formula_sum 'Li1 Tb4 Cd3'
_symmetry_space_group_name_H-M 'P 1'
_symmetry_Int_Tables_number 1
_symmetry_space_group_name_Hall 'P 1'
_cell_length_a 8.3389
_cell_length_b 8.3389
_cell_length_c 8.3389
_cell_angle_alpha 142.84
_cell_angle_beta 142.84
_cell_angle_gamma 53.56
loop_
_atom_site_label
_atom_site_type_symbol
_atom_site_fract_x
_atom_site_fract_y
_atom_site_fract_z
Li1 Li 0.0000 0.0000 0.0000
Tb1 Tb 0.1244 0.6244 0.5000
Tb2 Tb 0.3756 0.8756 0.5000
Tb3 Tb 0.6244 0.1244 0.5000
Tb4 Tb 0.8756 0.3756 0.5000
Cd1 Cd 0.2484 0.2484 0.0000
Cd2 Cd 0.5000 0.5000 0.0000
Cd3 Cd 0.7516 0.7516 0.0000
```

(6)
Starting from a PBE-relaxed structure, the XRD peak list of LiTbCd5 was simulated for copper Kα.
Peak positions follow from Bragg's law for the DFT cell and can differ from measured ones.

Most intense lines, 2θ from 15° to 90°, sorted by position:
| two_theta | d/Å | I/Imax |
| --- | --- | --- |
| 17.9 | 4.963 | 57 |
| 32.6 | 2.747 | 26 |
| 34.0 | 2.639 | 100 |
| 36.2 | 2.482 | 74 |
| 40.6 | 2.221 | 54 |
| 41.0 | 2.200 | 26 |
| 59.1 | 1.563 | 39 |
| 68.3 | 1.374 | 22 |
| 71.5 | 1.319 | 19 |
| 72.4 | 1.306 | 18 |

Structure:
```
data_LiTbCd5
_chemical_formula_sum 'Li1 Tb1 Cd5'
_symmetry_space_group_name_H-M 'P 1'
_symmetry_Int_Tables_number 1
_symmetry_space_group_name_Hall 'P 1'
_cell_length_a 5.3287
_cell_length_b 5.3287
_cell_length_c 6.5967
_cell_angle_alpha 90.00
_cell_angle_beta 90.00
_cell_angle_gamma 111.34
loop_
_atom_site_label
_atom_site_type_symbol
_atom_site_fract_x
_atom_site_fract_y
_atom_site_fract_z
Li1 Li 0.0000 0.0000 0.0000
Tb1 Tb 0.5000 0.5000 0.5000
Cd1 Cd 0.0000 0.5000 0.2443
Cd2 Cd 0.0000 0.5000 0.7557
Cd3 Cd 0.5000 0.0000 0.2443
Cd4 Cd 0.5000 0.0000 0.7557
Cd5 Cd 0.5000 0.5000 0.0000
```

(7)
Starting from a PBE-relaxed structure, the XRD peak list of Li4TbCd15 was simulated for copper Kα.
Peak positions follow from Bragg's law for the DFT cell and can differ from measured ones.

Most intense lines, 2θ from 15° to 90°, sorted by position:
| two_theta | d/Å | I/Imax |
| --- | --- | --- |
| 20.0 | 4.435 | 9 |
| 28.7 | 3.114 | 8 |
| 35.2 | 2.548 | 100 |
| 40.7 | 2.217 | 34 |
| 41.3 | 2.185 | 14 |
| 58.9 | 1.568 | 11 |
| 59.4 | 1.556 | 18 |
| 70.5 | 1.335 | 24 |
| 71.4 | 1.321 | 8 |
| 74.5 | 1.274 | 9 |

Structure:
```
data_Li4TbCd15
_chemical_formula_sum 'Li4 Tb1 Cd15'
_symmetry_space_group_name_H-M 'P 1'
_symmetry_Int_Tables_number 1
_symmetry_space_group_name_Hall 'P 1'
_cell_length_a 4.4346
_cell_length_b 4.4346
_cell_length_c 21.8511
_cell_angle_alpha 90.00
_cell_angle_beta 90.00
_cell_angle_gamma 90.00
loop_
_atom_site_label
_atom_site_type_symbol
_atom_site_fract_x
_atom_site_fract_y
_atom_site_fract_z
Li1 Li 0.0000 0.0000 0.0959
Li2 Li 0.0000 0.0000 0.2934
Li3 Li 0.0000 0.0000 0.7066
Li4 Li 0.0000 0.0000 0.9041
Tb1 Tb 0.0000 0.0000 0.5000
Cd1 Cd 0.0000 0.5000 0.0000
Cd2 Cd 0.0000 0.5000 0.1943
Cd3 Cd 0.0000 0.5000 0.3905
Cd4 Cd 0.0000 0.5000 0.6095
Cd5 Cd 0.0000 0.5000 0.8057
Cd6 Cd 0.5000 0.0000 0.0000
Cd7 Cd 0.5000 0.0000 0.1943
Cd8 Cd 0.5000 0.0000 0.3905
Cd9 Cd 0.5000 0.0000 0.6095
Cd10 Cd 0.5000 0.0000 0.8057
Cd11 Cd 0.5000 0.5000 0.0977
Cd12 Cd 0.5000 0.5000 0.2909
Cd13 Cd 0.5000 0.5000 0.5000
Cd14 Cd 0.5000 0.5000 0.7091
Cd15 Cd 0.5000 0.5000 0.9023
```

(8)
Starting from a PBE-relaxed structure, the XRD peak list of Li6TbCd2 was simulated for copper Kα.
Peak positions follow from Bragg's law for the DFT cell and can differ from measured ones.

Most intense lines, 2θ from 15° to 90°, sorted by position:
| two_theta | d/Å | I/Imax |
| --- | --- | --- |
| 26.8 | 3.332 | 43 |
| 30.6 | 2.919 | 71 |
| 31.7 | 2.826 | 88 |
| 32.2 | 2.781 | 100 |
| 38.6 | 2.330 | 78 |
| 43.9 | 2.064 | 32 |
| 44.6 | 2.030 | 32 |
| 45.8 | 1.981 | 26 |
| 55.4 | 1.657 | 42 |
| 59.9 | 1.545 | 42 |

Structure:
```
data_Li6TbCd2
_chemical_formula_sum 'Li6 Tb1 Cd2'
_symmetry_space_group_name_H-M 'P 1'
_symmetry_Int_Tables_number 1
_symmetry_space_group_name_Hall 'P 1'
_cell_length_a 4.1280
_cell_length_b 4.1280
_cell_length_c 11.2914
_cell_angle_alpha 90.00
_cell_angle_beta 90.00
_cell_angle_gamma 90.00
loop_
_atom_site_label
_atom_site_type_symbol
_atom_site_fract_x
_atom_site_fract_y
_atom_site_fract_z
Li1 Li 0.0000 0.0000 0.0000
Li2 Li 0.0000 0.5000 0.2028
Li3 Li 0.0000 0.5000 0.7972
Li4 Li 0.5000 0.0000 0.2028
Li5 Li 0.5000 0.0000 0.7972
Li6 Li 0.5000 0.5000 0.0000
Tb1 Tb 0.0000 0.0000 0.5000
Cd1 Cd 0.5000 0.5000 0.3685
Cd2 Cd 0.5000 0.5000 0.6315
```

(9)
Starting from a PBE-relaxed structure, the XRD peak list of Li2Tb3Cd5 was simulated for copper Kα.
Peak positions follow from Bragg's law for the DFT cell and can differ from measured ones.

Most intense lines, 2θ from 15° to 90°, sorted by position:
| two_theta | d/Å | I/Imax |
| --- | --- | --- |
| 28.7 | 3.115 | 70 |
| 32.3 | 2.771 | 50 |
| 34.5 | 2.596 | 100 |
| 35.2 | 2.549 | 58 |
| 37.7 | 2.387 | 24 |
| 38.3 | 2.350 | 25 |
| 43.5 | 2.079 | 28 |
| 57.2 | 1.611 | 28 |
| 60.6 | 1.527 | 15 |
| 66.8 | 1.400 | 16 |

Structure:
```
data_Li2Tb3Cd5
_chemical_formula_sum 'Li4 Tb6 Cd10'
_symmetry_space_group_name_H-M 'P 1'
_symmetry_Int_Tables_number 1
_symmetry_space_group_name_Hall 'P 1'
_cell_length_a 10.5110
_cell_length_b 10.5110
_cell_length_c 4.1588
_cell_angle_alpha 90.00
_cell_angle_beta 90.00
_cell_angle_gamma 90.00
loop_
_atom_site_label
_atom_site_type_symbol
_atom_site_fract_x
_atom_site_fract_y
_atom_site_fract_z
Li1 Li 0.1147 0.3853 0.0000
Li2 Li 0.3853 0.8853 0.0000
Li3 Li 0.6147 0.1147 0.0000
Li4 Li 0.8853 0.6147 0.0000
Tb1 Tb 0.0000 0.0000 0.0000
Tb2 Tb 0.1793 0.6793 0.0000
Tb3 Tb 0.3207 0.1793 0.0000
Tb4 Tb 0.5000 0.5000 0.0000
Tb5 Tb 0.6793 0.8207 0.0000
Tb6 Tb 0.8207 0.3207 0.0000
Cd1 Cd 0.0000 0.5000 0.5000
Cd2 Cd 0.0612 0.2170 0.5000
Cd3 Cd 0.2170 0.9388 0.5000
Cd4 Cd 0.2830 0.4388 0.5000
Cd5 Cd 0.4388 0.7170 0.5000
Cd6 Cd 0.5000 0.0000 0.5000
Cd7 Cd 0.5612 0.2830 0.5000
Cd8 Cd 0.7170 0.5612 0.5000
Cd9 Cd 0.7830 0.0612 0.5000
Cd10 Cd 0.9388 0.7830 0.5000
```

(10)
Starting from a PBE-relaxed structure, the XRD peak list of LiCdTe2 was simulated for copper Kα.
Peak positions follow from Bragg's law for the DFT cell and can differ from measured ones.

Most intense lines, 2θ from 15° to 90°, sorted by position:
| two_theta | d/Å | I/Imax |
| --- | --- | --- |
| 22.2 | 4.010 | 21 |
| 26.2 | 3.403 | 23 |
| 31.6 | 2.836 | 71 |
| 35.8 | 2.508 | 100 |
| 45.2 | 2.005 | 26 |
| 59.0 | 1.566 | 46 |
| 66.9 | 1.398 | 15 |
| 74.9 | 1.268 | 11 |
| 75.9 | 1.254 | 11 |
| 77.3 | 1.234 | 10 |

Structure:
```
data_LiCdTe2
_chemical_formula_sum 'Li1 Cd1 Te2'
_symmetry_space_group_name_H-M 'P 1'
_symmetry_Int_Tables_number 1
_symmetry_space_group_name_Hall 'P 1'
_cell_length_a 4.0101
_cell_length_b 4.0101
_cell_length_c 6.4301
_cell_angle_alpha 90.00
_cell_angle_beta 90.00
_cell_angle_gamma 90.00
loop_
_atom_site_label
_atom_site_type_symbol
_atom_site_fract_x
_atom_site_fract_y
_atom_site_fract_z
Li1 Li 0.0000 0.0000 0.0000
Cd1 Cd 0.0000 0.0000 0.5000
Te1 Te 0.5000 0.5000 0.2457
Te2 Te 0.5000 0.5000 0.7543
```

(11)
Starting from a PBE-relaxed structure, the XRD peak list of LiThCd11 was simulated for copper Kα.
Peak positions follow from Bragg's law for the DFT cell and can differ from measured ones.

Most intense lines, 2θ from 15° to 90°, sorted by position:
| two_theta | d/Å | I/Imax |
| --- | --- | --- |
| 30.3 | 2.946 | 36 |
| 31.0 | 2.889 | 26 |
| 31.2 | 2.869 | 51 |
| 35.3 | 2.541 | 49 |
| 35.6 | 2.522 | 38 |
| 35.9 | 2.504 | 55 |
| 36.2 | 2.484 | 100 |
| 36.3 | 2.475 | 70 |
| 40.0 | 2.252 | 26 |
| 40.7 | 2.217 | 19 |

Structure:
```
data_LiThCd11
_chemical_formula_sum 'Li1 Th1 Cd11'
_symmetry_space_group_name_H-M 'P 1'
_symmetry_Int_Tables_number 1
_symmetry_space_group_name_Hall 'P 1'
_cell_length_a 7.5802
_cell_length_b 7.5802
_cell_length_c 7.5774
_cell_angle_alpha 98.45
_cell_angle_beta 98.45
_cell_angle_gamma 134.26
loop_
_atom_site_label
_atom_site_type_symbol
_atom_site_fract_x
_atom_site_fract_y
_atom_site_fract_z
Li1 Li 0.0000 0.0000 0.0000
Th1 Th 0.5000 0.5000 0.5000
Cd1 Cd 0.0000 0.5000 0.5000
Cd2 Cd 0.0084 0.7991 0.2818
Cd3 Cd 0.1409 0.4840 0.1448
Cd4 Cd 0.2009 0.9916 0.7182
Cd5 Cd 0.4840 0.1409 0.1448
Cd6 Cd 0.5000 0.0000 0.5000
Cd7 Cd 0.5000 0.5000 0.0000
Cd8 Cd 0.5160 0.8591 0.8552
Cd9 Cd 0.7991 0.0084 0.2818
Cd10 Cd 0.8591 0.5160 0.8552
Cd11 Cd 0.9916 0.2009 0.7182
```

(12)
Starting from a PBE-relaxed structure, the XRD peak list of Li3TlCd3 was simulated for copper Kα.
Peak positions follow from Bragg's law for the DFT cell and can differ from measured ones.

Most intense lines, 2θ from 15° to 90°, sorted by position:
| two_theta | d/Å | I/Imax |
| --- | --- | --- |
| 23.7 | 3.758 | 26 |
| 26.0 | 3.431 | 100 |
| 30.1 | 2.971 | 14 |
| 33.7 | 2.658 | 31 |
| 35.4 | 2.534 | 24 |
| 40.1 | 2.246 | 80 |
| 49.7 | 1.834 | 13 |
| 55.8 | 1.648 | 22 |
| 59.2 | 1.561 | 12 |
| 68.9 | 1.363 | 29 |

Structure:
```
data_Li3TlCd3
_chemical_formula_sum 'Li12 Tl4 Cd12'
_symmetry_space_group_name_H-M 'P 1'
_symmetry_Int_Tables_number 1
_symmetry_space_group_name_Hall 'P 1'
_cell_length_a 8.4041
_cell_length_b 8.4041
_cell_length_c 8.4041
_cell_angle_alpha 90.00
_cell_angle_beta 90.00
_cell_angle_gamma 90.00
loop_
_atom_site_label
_atom_site_type_symbol
_atom_site_fract_x
_atom_site_fract_y
_atom_site_fract_z
Li1 Li 0.0651 0.2093 0.8871
Li2 Li 0.1129 0.5651 0.2907
Li3 Li 0.2093 0.8871 0.0651
Li4 Li 0.2907 0.1129 0.5651
Li5 Li 0.3871 0.4349 0.7907
Li6 Li 0.4349 0.7907 0.3871
Li7 Li 0.5651 0.2907 0.1129
Li8 Li 0.6129 0.9349 0.7093
Li9 Li 0.7093 0.6129 0.9349
Li10 Li 0.7907 0.3871 0.4349
Li11 Li 0.8871 0.0651 0.2093
Li12 Li 0.9349 0.7093 0.6129
Tl1 Tl 0.0973 0.4027 0.5973
Tl2 Tl 0.4027 0.5973 0.0973
Tl3 Tl 0.5973 0.0973 0.4027
Tl4 Tl 0.9027 0.9027 0.9027
Cd1 Cd 0.0851 0.5851 0.9149
Cd2 Cd 0.1147 0.8853 0.3853
Cd3 Cd 0.2080 0.2080 0.2080
Cd4 Cd 0.2920 0.7920 0.7080
Cd5 Cd 0.3853 0.1147 0.8853
Cd6 Cd 0.4149 0.4149 0.4149
Cd7 Cd 0.5851 0.9149 0.0851
Cd8 Cd 0.6147 0.6147 0.6147
Cd9 Cd 0.7080 0.2920 0.7920
Cd10 Cd 0.7920 0.7080 0.2920
Cd11 Cd 0.8853 0.3853 0.1147
Cd12 Cd 0.9149 0.0851 0.5851
```